This entry pairs a crystal structure of LaMg2Cd10 with its computed powder XRD pattern. Radiation: Cu Ka. Structure: a structure optimized by DFT (GGA-PBE).

Crystal structure
```
data_LaMg2Cd10
_symmetry_space_group_name_H-M 'P 1'
_symmetry_Int_Tables_number 1
_cell_length_a 9.9583
_cell_length_b 7.6832
_cell_length_c 7.6434
_cell_angle_alpha 81.04
_cell_angle_beta 49.65
_cell_angle_gamma 49.30
loop_
_symmetry_equiv_pos_as_xyz
'x,y,z'
loop_
_atom_site_label
_atom_site_fract_x
_atom_site_fract_y
_atom_site_fract_z
La1 0.0000 0.0000 0.0000
Mg1 0.0000 0.5000 0.0000
Mg2 0.5000 0.0000 0.5000
Cd1 0.0000 0.0000 0.5000
Cd2 0.0034 0.3496 0.6504
Cd3 0.2843 0.4982 0.5018
Cd4 0.3496 0.0034 0.9966
Cd5 0.4982 0.2843 0.7157
Cd6 0.5000 0.5000 0.0000
Cd7 0.5018 0.7157 0.2843
Cd8 0.6504 0.9966 0.0034
Cd9 0.7157 0.5018 0.4982
Cd10 0.9966 0.6504 0.3496
```

Most intense lines, 10° ≤ 2θ ≤ 90°, sorted by position:
Position (°2θ)	Rel. int.
12.59	41.1
29.54	60.5
30.73	88.8
34.71	93.3
35.65	100.0
35.83	92.6
36.08	83.4
39.22	44.5
39.33	47.8
40.15	26.5
61.33	28.7
63.99	41.7